Diffraction record for NpPb2Se4. The XRD peak list is computed, not measured: it uses DFT lattice parameters and positions (PBE) and Cu Ka.
Lines closer than 0.1° are merged.

Peak list (10 most intense, 2θ from 10° to 90°, sorted by position)
(hkl)  two_theta  I/Imax
1 0 1  12.40  22
1 1 2  20.41  26
2 1 1  23.70  100
1 0 3  24.20  57
2 2 0  28.60  37
3 2 1  37.47  54
1 0 5  38.46  22
4 0 0  40.89  43
2 2 4  41.51  86
6 2 4  74.88  24

```
28
Lattice="8.828 0.000 0.000 0.000 8.828 0.000 0.000 0.000 12.138" Properties=species:S:1:pos:R:3 pbc="T T T"
Np 0.000 2.170 0.000
Np 0.000 6.659 6.069
Np 2.170 0.000 9.103
Np 6.659 0.000 3.034
Pb 2.180 4.414 9.103
Pb 2.208 2.208 4.552
Pb 2.208 6.620 1.517
Pb 4.414 2.180 0.000
Pb 4.414 6.648 6.069
Pb 6.620 2.208 7.586
Pb 6.620 6.620 10.620
Pb 6.648 4.414 3.034
Se 0.188 2.039 9.300
Se 0.188 6.789 8.906
Se 2.039 0.188 11.941
Se 2.037 4.098 0.045
Se 2.037 4.730 6.024
Se 2.039 8.640 6.266
Se 4.098 2.037 9.059
Se 4.098 6.791 9.148
Se 4.730 2.037 3.079
Se 4.730 6.791 2.990
Se 6.789 0.188 0.197
Se 6.791 4.098 12.093
Se 6.791 4.730 6.113
Se 6.789 8.640 5.872
Se 8.640 2.039 2.837
Se 8.640 6.789 3.231
```